[1]
This entry pairs a crystal structure of Pr2ThAl6 with its computed powder X-ray diffraction pattern. Radiation: a wavelength of 1.5418 Å. Structure: a cell relaxed with PBE.

Structure:
```
data_Pr2ThAl6
_symmetry_space_group_name_H-M 'P 6/m m m'
_symmetry_Int_Tables_number 191
_symmetry_space_group_name_Hall '-P 6 2'
_cell_length_a 7.8967
_cell_length_b 7.8967
_cell_length_c 3.8963
_cell_angle_alpha 90.00
_cell_angle_beta 90.00
_cell_angle_gamma 120.00
loop_
_atom_site_label
_atom_site_type_symbol
_atom_site_fract_x
_atom_site_fract_y
_atom_site_fract_z
_atom_site_occupancy
Pr1 Pr 0.3333 0.6667 0.0000 1
Th1 Th 0.0000 0.0000 0.0000 1
Al1 Al 0.0000 0.3324 0.5000 1
```

The 12 most intense peaks (10 to 80 degrees two-theta), low angle first:
2θ/deg, d (Å), Rel. int., h k l
22.52, 3.948, 63, 1 1 0
22.82, 3.896, 13, 0 0 1
32.28, 2.773, 100, 1 1 1
39.53, 2.280, 37, 3 0 0
45.97, 1.974, 10, 2 2 0
46.13, 1.968, 13, 3 0 1
51.92, 1.761, 26, 2 2 1
52.37, 1.747, 14, 1 1 2
62.21, 1.492, 8, 4 1 0
62.74, 1.481, 19, 3 0 2
67.17, 1.394, 24, 4 1 1
77.34, 1.234, 8, 1 1 3

***

[2]
This entry pairs a crystal structure of Li5GaAu with its computed powder X-ray diffraction pattern. Radiation: a wavelength of 1.5418 Å. Structure: a cell relaxed with PBE.

Structure:
```
data_Li5GaAu
_symmetry_space_group_name_H-M 'C 1 2/c 1'
_symmetry_Int_Tables_number 15
_cell_length_a 6.3513
_cell_length_b 7.5524
_cell_length_c 9.8457
_cell_angle_alpha 90.00
_cell_angle_beta 107.91
_cell_angle_gamma 90.00
loop_
_symmetry_equiv_pos_as_xyz
'x,y,z'
'-x,-y,-z'
'-x,y,-z+1/2'
'x,-y,z+1/2'
'x+1/2,y+1/2,z'
'-x+1/2,-y+1/2,-z'
'-x+1/2,y+1/2,-z+1/2'
'x+1/2,-y+1/2,z+1/2'
loop_
_atom_site_label
_atom_site_type_symbol
_atom_site_fract_x
_atom_site_fract_y
_atom_site_fract_z
_atom_site_occupancy
Li1 Li 0.0000 0.1536 0.2500 1
Li2 Li 0.1114 0.4766 0.1499 1
Li3 Li 0.1690 0.1032 0.0397 1
Ga1 Ga 0.2500 0.2500 0.5000 1
Au1 Au 0.0000 0.2117 0.7500 1
```

The 12 most intense peaks (10 to 80 degrees two-theta), low angle first:
2θ/deg, d (Å), Rel. int., h k l
18.93, 4.689, 51, 0 0 2
23.05, 3.859, 100, 1 1 1
23.56, 3.776, 42, 0 2 0
29.86, 2.993, 31, 2 0 -2
30.29, 2.951, 54, 1 1 -3
38.40, 2.344, 44, 0 0 4
40.18, 2.244, 16, 2 0 2
41.11, 2.196, 20, 1 3 1
44.65, 2.030, 19, 3 1 -1
45.58, 1.990, 23, 0 2 4
47.11, 1.929, 17, 2 2 2
57.03, 1.615, 19, 1 1 5

***

[3]
This entry pairs a crystal structure of ErCu4Pd8 with its computed powder X-ray diffraction pattern. Radiation: a wavelength of 1.5418 Å. Structure: a cell relaxed with PBE.

Structure:
```
data_ErCu4Pd8
_symmetry_space_group_name_H-M 'I 4/m m m'
_symmetry_Int_Tables_number 139
_symmetry_space_group_name_Hall '-I 4 2'
_cell_length_a 8.9309
_cell_length_b 8.9309
_cell_length_c 4.9961
_cell_angle_alpha 90.00
_cell_angle_beta 90.00
_cell_angle_gamma 90.00
loop_
_atom_site_label
_atom_site_type_symbol
_atom_site_fract_x
_atom_site_fract_y
_atom_site_fract_z
_atom_site_occupancy
Er1 Er 0.0000 0.0000 0.0000 1
Cu1 Cu 0.2500 0.2500 0.2500 1
Pd1 Pd 0.0000 0.2160 0.5000 1
Pd2 Pd 0.0000 0.3465 0.0000 1
```

The 12 most intense peaks (10 to 80 degrees two-theta), low angle first:
2θ/deg, d (Å), Rel. int., h k l
28.61, 3.120, 9, 2 1 1
35.09, 2.557, 49, 3 0 1
35.95, 2.498, 26, 0 0 2
40.40, 2.233, 47, 4 0 0
40.65, 2.219, 100, 3 2 1
41.42, 2.180, 44, 2 0 2
45.42, 1.997, 15, 4 2 0
45.65, 1.987, 17, 4 1 1
46.35, 1.959, 37, 2 2 2
67.81, 1.382, 22, 3 2 3
73.63, 1.286, 25, 6 3 1
74.16, 1.279, 21, 6 0 2

***

[4]
This entry pairs a crystal structure of RbThSb2Pt2 with its computed powder X-ray diffraction pattern. Radiation: a wavelength of 1.5418 Å. Structure: a cell relaxed with PBE.

Structure:
```
data_RbThSb2Pt2
_symmetry_space_group_name_H-M 'P -3 m 1'
_symmetry_Int_Tables_number 164
_symmetry_space_group_name_Hall '-P 3 2"'
_cell_length_a 4.4818
_cell_length_b 4.4818
_cell_length_c 10.1656
_cell_angle_alpha 90.00
_cell_angle_beta 90.00
_cell_angle_gamma 120.00
loop_
_atom_site_label
_atom_site_type_symbol
_atom_site_fract_x
_atom_site_fract_y
_atom_site_fract_z
_atom_site_occupancy
Rb1 Rb 0.0000 0.0000 0.0000 1
Th1 Th 0.0000 0.0000 0.5000 1
Sb1 Sb 0.3333 0.6667 0.7331 1
Pt1 Pt 0.3333 0.6667 0.3308 1
```

The 12 most intense peaks (10 to 80 degrees two-theta), low angle first:
2θ/deg, d (Å), Rel. int., h k l
28.94, 3.085, 100, 1 0 2
35.16, 2.553, 30, 1 0 3
40.24, 2.241, 54, 1 1 0
41.25, 2.188, 14, 1 1 1
42.52, 2.126, 13, 0 1 4
50.33, 1.813, 22, 0 2 2
50.69, 1.801, 13, 1 0 5
54.49, 1.684, 9, 0 2 3
61.59, 1.506, 8, 1 1 5
66.32, 1.409, 19, 2 1 2
69.87, 1.346, 8, 2 1 3
73.15, 1.294, 9, 3 0 0

***

[5]
This entry pairs a crystal structure of In2NiHgI with its computed powder X-ray diffraction pattern. Radiation: a wavelength of 1.5418 Å. Structure: a cell relaxed with PBE.

Structure:
```
data_In2NiHgI
_symmetry_space_group_name_H-M 'P 4/m m m'
_symmetry_Int_Tables_number 123
_symmetry_space_group_name_Hall '-P 4 2'
_cell_length_a 5.1636
_cell_length_b 5.1636
_cell_length_c 5.1872
_cell_angle_alpha 90.00
_cell_angle_beta 90.00
_cell_angle_gamma 90.00
loop_
_atom_site_label
_atom_site_type_symbol
_atom_site_fract_x
_atom_site_fract_y
_atom_site_fract_z
_atom_site_occupancy
In1 In 0.0000 0.5000 0.0000 1
Ni1 Ni 0.0000 0.0000 0.0000 1
Hg1 Hg 0.0000 0.0000 0.5000 1
I1 I 0.5000 0.5000 0.5000 1
```

The 12 most intense peaks (10 to 80 degrees two-theta), low angle first:
2θ/deg, d (Å), Rel. int., h k l
17.17, 5.164, 15, 1 0 0
24.38, 3.651, 8, 1 1 0
29.93, 2.986, 100, 1 1 1
34.58, 2.594, 27, 0 0 2
34.75, 2.582, 54, 2 0 0
39.00, 2.309, 4, 2 1 0
49.84, 1.830, 38, 2 0 2
49.96, 1.826, 19, 2 2 0
59.12, 1.563, 14, 1 1 3
59.33, 1.558, 29, 3 1 1
62.18, 1.493, 19, 2 2 2
73.34, 1.291, 6, 4 0 0

***

[6]
This entry pairs a crystal structure of Pr2SnPd3 with its computed powder X-ray diffraction pattern. Radiation: a wavelength of 1.5418 Å. Structure: a cell relaxed with PBE.

Structure:
```
data_Pr2SnPd3
_symmetry_space_group_name_H-M 'P 63/m m c'
_symmetry_Int_Tables_number 194
_symmetry_space_group_name_Hall '-P 6c 2c'
_cell_length_a 4.6621
_cell_length_b 4.6621
_cell_length_c 14.9331
_cell_angle_alpha 90.00
_cell_angle_beta 90.00
_cell_angle_gamma 120.00
loop_
_atom_site_label
_atom_site_type_symbol
_atom_site_fract_x
_atom_site_fract_y
_atom_site_fract_z
_atom_site_occupancy
Pr1 Pr 0.0000 0.0000 0.1190 1
Sn1 Sn 0.3333 0.6667 0.2500 1
Pd1 Pd 0.3333 0.6667 0.0111 1
Pd2 Pd 0.3333 0.6667 0.7500 1
```

The 12 most intense peaks (10 to 80 degrees two-theta), low angle first:
2θ/deg, d (Å), Rel. int., h k l
22.02, 4.038, 2, 1 0 0
23.83, 3.733, 4, 0 0 4
32.67, 2.741, 100, 1 0 4
37.46, 2.401, 2, 1 0 5
38.62, 2.331, 68, 1 1 0
45.90, 1.977, 4, 1 1 4
48.79, 1.867, 10, 0 0 8
51.46, 1.776, 28, 2 0 4
60.31, 1.535, 1, 1 0 9
63.89, 1.457, 27, 1 1 8
66.15, 1.413, 26, 2 1 4
69.89, 1.346, 12, 3 0 0

***

[7]
This entry pairs a crystal structure of La6PrEr2Sc with its computed powder X-ray diffraction pattern. Radiation: a wavelength of 1.5418 Å. Structure: a cell relaxed with PBE.

Structure:
```
data_La6PrEr2Sc
_symmetry_space_group_name_H-M 'C 1 2/m 1'
_symmetry_Int_Tables_number 12
_cell_length_a 10.7281
_cell_length_b 7.4417
_cell_length_c 9.0904
_cell_angle_alpha 90.00
_cell_angle_beta 104.46
_cell_angle_gamma 90.00
loop_
_symmetry_equiv_pos_as_xyz
'x,y,z'
'-x,-y,-z'
'-x,y,-z'
'x,-y,z'
'x+1/2,y+1/2,z'
'-x+1/2,-y+1/2,-z'
'-x+1/2,y+1/2,-z'
'x+1/2,-y+1/2,z'
loop_
_atom_site_label
_atom_site_type_symbol
_atom_site_fract_x
_atom_site_fract_y
_atom_site_fract_z
_atom_site_occupancy
La1 La 0.1345 0.2207 0.2849 1
La2 La 0.1649 0.5000 0.9475 1
Pr1 Pr 0.0000 0.5000 0.5000 1
Er1 Er 0.1211 0.0000 0.6476 1
Sc1 Sc 0.0000 0.0000 0.0000 1
```

The 12 most intense peaks (10 to 80 degrees two-theta), low angle first:
2θ/deg, d (Å), Rel. int., h k l
26.72, 3.336, 50, 1 1 2
27.93, 3.195, 21, 3 1 -1
29.80, 2.998, 100, 2 2 -1
30.47, 2.934, 20, 0 0 3
31.03, 2.882, 51, 2 0 -3
31.48, 2.841, 44, 0 2 2
32.37, 2.766, 37, 3 1 1
32.67, 2.741, 24, 2 2 1
34.54, 2.597, 20, 4 0 0
35.48, 2.530, 20, 4 0 -2
47.71, 1.906, 18, 3 3 1
53.39, 1.716, 18, 4 2 -4

***

[8]
This entry pairs a crystal structure of Pr8Ho3Sc with its computed powder X-ray diffraction pattern. Radiation: a wavelength of 1.5418 Å. Structure: a cell relaxed with PBE.

Structure:
```
data_Pr8Ho3Sc
_symmetry_space_group_name_H-M 'I -4 2 m'
_symmetry_Int_Tables_number 121
_symmetry_space_group_name_Hall 'I -4 2'
_cell_length_a 8.7368
_cell_length_b 8.7368
_cell_length_c 11.7374
_cell_angle_alpha 90.00
_cell_angle_beta 90.00
_cell_angle_gamma 90.00
loop_
_atom_site_label
_atom_site_type_symbol
_atom_site_fract_x
_atom_site_fract_y
_atom_site_fract_z
_atom_site_occupancy
Pr1 Pr 0.1263 0.1263 0.2565 1
Pr2 Pr 0.2406 0.2406 0.5171 1
Ho1 Ho 0.0000 0.0000 0.0000 1
Ho2 Ho 0.0000 0.5000 0.2500 1
Sc1 Sc 0.0000 0.0000 0.5000 1
```

The 12 most intense peaks (10 to 80 degrees two-theta), low angle first:
2θ/deg, d (Å), Rel. int., h k l
24.00, 3.707, 75, 2 1 1
25.42, 3.504, 78, 2 0 2
28.90, 3.089, 78, 2 2 0
30.46, 2.934, 74, 0 0 4
32.39, 2.764, 55, 2 1 3
35.93, 2.500, 100, 3 1 2
42.49, 2.127, 50, 2 2 4
44.25, 2.047, 40, 4 0 2
45.06, 2.012, 28, 3 1 4
55.90, 1.645, 29, 5 1 2
57.75, 1.596, 33, 3 1 6
68.68, 1.367, 27, 4 4 4

***

[9]
This entry pairs a crystal structure of ZrGe3N2O9 with its computed powder X-ray diffraction pattern. Radiation: a wavelength of 1.5418 Å. Structure: a cell relaxed with PBE.

Structure:
```
data_ZrGe3N2O9
_symmetry_space_group_name_H-M 'P 63/m'
_symmetry_Int_Tables_number 176
_symmetry_space_group_name_Hall '-P 6c'
_cell_length_a 7.9441
_cell_length_b 7.9441
_cell_length_c 10.4443
_cell_angle_alpha 90.00
_cell_angle_beta 90.00
_cell_angle_gamma 120.00
loop_
_atom_site_label
_atom_site_type_symbol
_atom_site_fract_x
_atom_site_fract_y
_atom_site_fract_z
_atom_site_occupancy
Zr1 Zr 0.0000 0.0000 0.0000 1
Ge1 Ge 0.1865 0.7869 0.2500 1
N1 N 0.3333 0.6667 0.5513 1
O1 O 0.0869 0.5313 0.2500 1
O2 O 0.1018 0.8574 0.1174 1
```

The 12 most intense peaks (10 to 80 degrees two-theta), low angle first:
2θ/deg, d (Å), Rel. int., h k l
12.87, 6.880, 52, 1 0 0
15.42, 5.745, 100, 1 0 1
16.98, 5.222, 22, 0 0 2
21.36, 4.160, 48, 1 0 2
27.30, 3.267, 79, 2 0 1
28.23, 3.161, 48, 1 1 2
28.74, 3.106, 25, 1 0 3
31.13, 2.873, 25, 2 0 2
34.49, 2.600, 24, 2 1 0
43.08, 2.100, 26, 3 0 2
45.68, 1.986, 16, 2 2 0
49.47, 1.842, 37, 2 1 4

***

[10]
This entry pairs a crystal structure of Cs2RbNp3O12 with its computed powder X-ray diffraction pattern. Radiation: a wavelength of 1.5418 Å. Structure: a cell relaxed with PBE.

Structure:
```
data_Cs2RbNp3O12
_symmetry_space_group_name_H-M 'R -3 m'
_symmetry_Int_Tables_number 166
_symmetry_space_group_name_Hall '-R 3 2"'
_cell_length_a 8.0897
_cell_length_b 8.0897
_cell_length_c 19.0821
_cell_angle_alpha 90.00
_cell_angle_beta 90.00
_cell_angle_gamma 120.00
loop_
_atom_site_label
_atom_site_type_symbol
_atom_site_fract_x
_atom_site_fract_y
_atom_site_fract_z
_atom_site_occupancy
Cs1 Cs 0.0000 0.0000 0.1108 1
Rb1 Rb 0.0000 0.0000 0.5000 1
Np1 Np 0.0000 0.5000 0.0000 1
O1 O 0.0457 0.5228 0.9046 1
O2 O 0.0803 0.5402 0.3183 1
```

The 12 most intense peaks (10 to 80 degrees two-theta), low angle first:
2θ/deg, d (Å), Rel. int., h k l
13.92, 6.361, 59, 0 0 3
22.55, 3.943, 28, 1 0 4
25.86, 3.445, 100, 0 2 1
26.11, 3.413, 57, 1 1 3
26.60, 3.351, 35, 0 1 5
27.12, 3.288, 80, 2 0 2
41.18, 2.192, 19, 0 3 3
41.51, 2.176, 19, 1 2 5
44.81, 2.022, 42, 2 2 0
46.04, 1.972, 25, 2 0 8
54.78, 1.676, 21, 0 2 10
63.58, 1.463, 20, 2 2 9

***

[11]
This entry pairs a crystal structure of Mg3Zn3AgRh2 with its computed powder X-ray diffraction pattern. Radiation: a wavelength of 1.5418 Å. Structure: a cell relaxed with PBE.

Structure:
```
data_Mg3Zn3AgRh2
_symmetry_space_group_name_H-M 'P -6 2 m'
_symmetry_Int_Tables_number 189
_symmetry_space_group_name_Hall 'P -6 -2'
_cell_length_a 7.5260
_cell_length_b 7.5260
_cell_length_c 2.9672
_cell_angle_alpha 90.00
_cell_angle_beta 90.00
_cell_angle_gamma 120.00
loop_
_atom_site_label
_atom_site_type_symbol
_atom_site_fract_x
_atom_site_fract_y
_atom_site_fract_z
_atom_site_occupancy
Mg1 Mg 0.0000 0.6959 0.0000 1
Zn1 Zn 0.0000 0.3834 0.5000 1
Ag1 Ag 0.0000 0.0000 0.5000 1
Rh1 Rh 0.3333 0.6667 0.0000 1
```

The 12 most intense peaks (10 to 80 degrees two-theta), low angle first:
2θ/deg, d (Å), Rel. int., h k l
23.64, 3.763, 68, 1 1 0
33.17, 2.701, 38, 1 0 1
38.64, 2.330, 65, 1 1 1
41.14, 2.194, 70, 2 0 1
41.57, 2.173, 100, 3 0 0
48.00, 1.895, 45, 2 1 1
48.38, 1.881, 13, 2 2 0
58.05, 1.589, 12, 2 2 1
59.92, 1.544, 11, 3 1 1
62.61, 1.484, 12, 0 0 2
70.53, 1.335, 32, 3 2 1
77.99, 1.225, 29, 3 0 2

***

[12]
This entry pairs a crystal structure of Nd2Pd2Rh with its computed powder X-ray diffraction pattern. Radiation: a wavelength of 1.5418 Å. Structure: a cell relaxed with PBE.

Structure:
```
data_Nd2Pd2Rh
_symmetry_space_group_name_H-M 'A m m 2'
_symmetry_Int_Tables_number 38
_cell_length_a 3.8300
_cell_length_b 4.0110
_cell_length_c 14.5797
_cell_angle_alpha 90.00
_cell_angle_beta 90.00
_cell_angle_gamma 90.00
loop_
_symmetry_equiv_pos_as_xyz
'x,y,z'
'-x,-y,z'
'-x,y,z'
'x,-y,z'
'x,y+1/2,z+1/2'
'-x,-y+1/2,z+1/2'
'-x,y+1/2,z+1/2'
'x,-y+1/2,z+1/2'
loop_
_atom_site_label
_atom_site_type_symbol
_atom_site_fract_x
_atom_site_fract_y
_atom_site_fract_z
_atom_site_occupancy
Nd1 Nd 0.0000 0.0000 0.0000 1
Nd2 Nd 0.0000 0.0000 0.2501 1
Pd1 Pd 0.5000 0.0000 0.6321 1
Pd2 Pd 0.5000 0.0000 0.8230 1
Rh1 Rh 0.5000 0.0000 0.4442 1
```

The 12 most intense peaks (10 to 80 degrees two-theta), low angle first:
2θ/deg, d (Å), Rel. int., h k l
24.42, 3.645, 10, 0 0 4
32.91, 2.721, 100, 1 1 1
33.95, 2.640, 49, 1 0 4
37.37, 2.407, 39, 1 1 3
38.16, 2.359, 57, 0 1 5
45.20, 2.006, 29, 0 2 0
47.48, 1.915, 22, 2 0 0
55.87, 1.646, 11, 1 0 8
57.73, 1.597, 21, 1 2 4
62.47, 1.487, 26, 2 1 5
67.64, 1.385, 15, 2 2 0
75.59, 1.258, 15, 0 1 11

***

[13]
This entry pairs a crystal structure of SmU3S4 with its computed powder X-ray diffraction pattern. Radiation: a wavelength of 1.5418 Å. Structure: a cell relaxed with PBE.

Structure:
```
data_SmU3S4
_symmetry_space_group_name_H-M 'C m m m'
_symmetry_Int_Tables_number 65
_symmetry_space_group_name_Hall '-C 2 2'
_cell_length_a 7.8553
_cell_length_b 11.0208
_cell_length_c 3.8770
_cell_angle_alpha 90.00
_cell_angle_beta 90.00
_cell_angle_gamma 90.00
loop_
_atom_site_label
_atom_site_type_symbol
_atom_site_fract_x
_atom_site_fract_y
_atom_site_fract_z
_atom_site_occupancy
Sm1 Sm 0.0000 0.0000 0.0000 1
U1 U 0.0000 0.5000 0.0000 1
U2 U 0.2500 0.2500 0.5000 1
S1 S 0.0000 0.2523 0.0000 1
S2 S 0.2450 0.5000 0.5000 1
```

The 12 most intense peaks (10 to 80 degrees two-theta), low angle first:
2θ/deg, d (Å), Rel. int., h k l
27.90, 3.198, 50, 2 2 0
28.14, 3.171, 49, 0 2 1
32.46, 2.758, 100, 2 0 1
46.23, 1.964, 12, 4 0 0
46.58, 1.950, 49, 2 4 1
46.87, 1.938, 12, 0 0 2
55.00, 1.670, 17, 4 2 1
55.21, 1.664, 8, 2 6 0
55.40, 1.658, 25, 2 2 2
57.64, 1.599, 13, 4 4 0
58.19, 1.585, 13, 0 4 2
77.40, 1.233, 23, 4 4 2